(1)
Theoretical XRD peak list of LaMnZnFeO6 for λ = 1.5418 Å (Cu Kα), from a GGA+U-relaxed structure.
Intensities are scaled so that the largest is 100.

a b c (Å): 5.3337 5.4759 9.3244
angles (deg): 90.00 124.71 90.00
Space group Pc (No. 7)
Inequivalent atoms, fractional coordinates:
La 0.0000 0.2206 0.0000
Mn 0.2417 0.2541 0.7500
Zn 0.4727 0.2791 0.5005
Fe 0.7416 0.2542 0.2511
O 0.0278 0.4781 0.8010
O 0.1072 0.0443 0.3069
O 0.4131 0.4847 0.1966
O 0.4823 0.0528 0.6928
O 0.5615 0.2857 0.9942
O 0.8671 0.2330 0.5053

Main lines, in order of rising 2θ (10° ≤ 2θ ≤ 90°):
| 2theta | I_rel | (hkl) |
| --- | --- | --- |
| 20.3 | 8 | 1 0 -2 |
| 23.3 | 9 | 0 0 2 |
| 32.7 | 24 | 0 2 0 |
| 33.1 | 100 | 1 1 -3 |
| 33.6 | 21 | 2 0 -2 |
| 40.5 | 8 | 0 2 2 |
| 47.4 | 14 | 0 0 4 |
| 47.6 | 27 | 2 2 -2 |
| 58.6 | 17 | 1 3 -3 |
| 58.8 | 11 | 0 2 4 |
| 59.7 | 11 | 3 1 -1 |
| 59.8 | 11 | 3 1 -5 |


(2)
Theoretical XRD peak list of Sr11LaFe6Mo6O36 for λ = 1.5418 Å (Cu Kα), from a GGA+U-relaxed structure.
Intensities are scaled so that the largest is 100.

a b c (Å): 5.6368 9.7905 15.0836
angles (deg): 78.26 79.42 73.57
Space group P1 (No. 1)
Inequivalent atoms, fractional coordinates:
Sr 0.0000 0.0000 0.0000
Sr 0.0005 0.2422 0.7572
Sr 0.3275 0.7478 0.5855
Sr 0.3290 0.9967 0.3338
Sr 0.3351 0.4899 0.8344
Sr 0.3361 0.2397 0.0831
Sr 0.6532 0.7625 0.9199
Sr 0.6607 0.5033 0.1711
Sr 0.6629 0.2501 0.4197
Sr 0.9965 0.7528 0.2507
Sr 0.9982 0.4993 0.5026
La 0.6501 0.0059 0.6806
Fe 0.1623 0.8766 0.7958
Fe 0.1642 0.3727 0.2951
Fe 0.4933 0.3726 0.6291
Fe 0.4956 0.8749 0.1252
Fe 0.4975 0.1214 0.8791
Fe 0.8321 0.8746 0.4615
Mo 0.1609 0.6256 0.0453
Mo 0.1631 0.1223 0.5439
Mo 0.4984 0.6245 0.3774
Mo 0.8282 0.1227 0.2127
Mo 0.8297 0.6266 0.7094
Mo 0.8306 0.3730 0.9603
O 0.0303 0.2327 0.2473
O 0.0344 0.7306 0.7449
O 0.1406 0.9837 0.1658
O 0.1437 0.4829 0.6630
O 0.1634 0.2498 0.4192
O 0.1629 0.7430 0.9230
O 0.1630 0.9968 0.6682
O 0.1640 0.5023 0.1661
O 0.1823 0.7640 0.4254
O 0.1856 0.2674 0.9235
O 0.2922 0.5198 0.3418
O 0.2925 0.0130 0.8388
O 0.3737 0.7306 0.0813
O 0.3894 0.2229 0.5819
O 0.4594 0.9851 0.4977
O 0.4716 0.4812 0.9976
O 0.4984 0.7499 0.2533
O 0.5003 0.9979 0.0034
O 0.5028 0.4962 0.5028
O 0.5091 0.2418 0.7482
O 0.5155 0.2687 0.2589
O 0.5204 0.7728 0.7549
O 0.6272 0.0163 0.1783
O 0.6275 0.5191 0.6740
O 0.6995 0.7301 0.4139
O 0.7065 0.2334 0.9132
O 0.8074 0.9801 0.8242
O 0.8142 0.4848 0.3300
O 0.8223 0.7530 0.5858
O 0.8253 0.9992 0.3380
O 0.8262 0.5034 0.8330
O 0.8295 0.2455 0.0888
O 0.8553 0.7656 0.0921
O 0.8669 0.2599 0.5905
O 0.9367 0.0165 0.5133
O 0.9490 0.5164 0.0093

Main lines, in order of rising 2θ (10° ≤ 2θ ≤ 90°):
| 2theta | I_rel | (hkl) |
| --- | --- | --- |
| 31.5 | 100 | 1 3 -1 |
| 31.7 | 52 | 2 1 1 |
| 38.9 | 8 | 2 0 4 |
| 44.7 | 19 | 0 2 -6 |
| 45.3 | 17 | -2 2 2 |
| 45.6 | 17 | 2 4 4 |
| 55.8 | 20 | 2 -1 7 |
| 56.2 | 10 | -1 5 1 |
| 56.3 | 10 | 3 -1 3 |
| 56.4 | 20 | 3 4 0 |
| 65.5 | 10 | 2 -4 4 |
| 65.8 | 10 | 2 6 -2 |


(3)
Theoretical XRD peak list of La5Fe4NiO15 for λ = 1.5418 Å (Cu Kα), from a GGA+U-relaxed structure.
Intensities are scaled so that the largest is 100.

a b c (Å): 40.0028 5.5644 5.6248
angles (deg): 90.00 98.08 90.00
Space group C2/m (No. 12)
Inequivalent atoms, fractional coordinates:
La 0.0504 0.0000 0.0405
La 0.0504 0.5000 0.5602
La 0.1517 0.0000 0.1622
La 0.1516 0.5000 0.6432
La 0.2499 0.0000 0.2400
Fe 0.0000 0.0000 0.5000
Fe 0.0000 0.5000 0.0000
Fe 0.1004 0.0000 0.6000
Fe 0.1007 0.5000 0.1008
Fe 0.2007 0.0000 0.7003
Ni 0.2001 0.5000 0.2000
O 0.0099 0.2501 0.7600
O 0.0500 0.0000 0.4623
O 0.0501 0.5000 0.1372
O 0.0900 0.2499 0.8397
O 0.1099 0.2496 0.3601
O 0.1495 0.5000 0.0636
O 0.1500 0.0000 0.7367
O 0.1908 0.2473 0.4444
O 0.2092 0.2480 0.9552
O 0.2496 0.0000 0.6644

Main lines, in order of rising 2θ (10° ≤ 2θ ≤ 90°):
| 2theta | I_rel | (hkl) |
| --- | --- | --- |
| 22.5 | 20 | 10 0 0 |
| 31.8 | 22 | 2 0 -2 |
| 32.0 | 100 | 9 1 1 |
| 32.2 | 24 | 0 2 0 |
| 39.6 | 12 | 10 2 0 |
| 45.8 | 13 | 20 0 0 |
| 45.9 | 30 | 2 2 -2 |
| 56.8 | 32 | 7 1 3 |
| 57.1 | 11 | 20 2 0 |
| 57.2 | 19 | 9 3 1 |
| 66.9 | 15 | 18 2 2 |
| 76.0 | 12 | 7 3 3 |


(4)
Theoretical XRD peak list of La5Fe4NiO15 for λ = 1.5418 Å (Cu Kα), from a GGA+U-relaxed structure.
Intensities are scaled so that the largest is 100.

a b c (Å): 9.7323 5.5544 23.1816
angles (deg): 90.00 97.95 90.00
Space group C2/m (No. 12)
Inequivalent atoms, fractional coordinates:
La 0.0458 0.0000 0.1450
La 0.0549 0.5000 0.6533
La 0.1472 0.5000 0.9487
La 0.1544 0.0000 0.4518
La 0.2468 0.0000 0.7514
Fe 0.0000 0.0000 0.0000
Fe 0.0000 0.5000 0.5000
Fe 0.0997 0.0000 0.2991
Fe 0.1001 0.5000 0.8013
Fe 0.2004 0.0000 0.6008
Ni 0.2002 0.5000 0.0997
O 0.0139 0.0000 0.6321
O 0.0303 0.2511 0.7399
O 0.0702 0.2497 0.0585
O 0.0819 0.5000 0.1678
O 0.1132 0.5000 0.4317
O 0.1306 0.2492 0.5398
O 0.1699 0.2500 0.8590
O 0.1800 0.0000 0.9679
O 0.2134 0.0000 0.2318
O 0.2297 0.2497 0.3397

Main lines, in order of rising 2θ (10° ≤ 2θ ≤ 90°):
| 2theta | I_rel | (hkl) |
| --- | --- | --- |
| 22.5 | 13 | 1 1 3 |
| 31.8 | 22 | 2 0 6 |
| 31.9 | 100 | 3 1 -1 |
| 32.2 | 24 | 0 2 0 |
| 39.6 | 12 | 2 2 -4 |
| 45.7 | 13 | 4 0 -8 |
| 45.9 | 29 | 2 2 6 |
| 56.8 | 32 | 5 1 5 |
| 57.0 | 11 | 4 2 -8 |
| 57.3 | 19 | 3 3 -1 |
| 66.8 | 15 | 6 2 -2 |
| 75.8 | 11 | 7 1 -9 |